Entry 1:
Diffraction record for BaSrSiP2. The powder XRD pattern is theoretical, not measured: it uses a cell relaxed with PBE and Cu Kα.
Kinematic intensities with the Lorentz-polarization factor, no thermal factor.

Crystal structure
a = 7.345 Å, b = 5.123 Å, c = 8.320 Å
α = 90.00°, β = 105.56°, γ = 90.00°
Fractional positions:
Ba 0.000 0.225 0.250
Ba 0.000 0.775 0.750
Sr 0.500 0.473 0.750
Sr 0.500 0.527 0.250
Si 0.500 0.000 0.000
Si 0.500 0.000 0.500
P 0.244 0.246 0.951
P 0.244 0.754 0.451
P 0.756 0.246 0.549
P 0.756 0.754 0.049

Top 12 peaks for 15 to 90 degrees two-theta, in order of rising 2θ:
2θ/deg	d (Å)	Rel. int.
20.58	4.317	37
22.18	4.007	32
25.17	3.538	43
25.68	3.469	100
28.42	3.140	36
28.83	3.096	53
30.26	2.954	26
37.04	2.427	30
37.34	2.409	51
38.18	2.357	23
40.86	2.208	28
41.96	2.153	29



Entry 2:
Diffraction record for Ba8SrP6. The powder XRD pattern is theoretical, not measured: it uses a cell relaxed with PBE and Cu Kα.
Kinematic intensities with the Lorentz-polarization factor, no thermal factor.

Crystal structure
a = 8.884 Å, b = 8.884 Å, c = 8.884 Å
α = 64.02°, β = 64.02°, γ = 64.02°
Fractional positions:
Ba 0.063 0.399 0.731
Ba 0.166 0.166 0.166
Ba 0.269 0.937 0.601
Ba 0.399 0.731 0.063
Ba 0.601 0.269 0.937
Ba 0.731 0.063 0.399
Ba 0.834 0.834 0.834
Ba 0.937 0.601 0.269
Sr 0.500 0.500 0.500
P 0.101 0.758 0.428
P 0.242 0.572 0.899
P 0.428 0.101 0.758
P 0.572 0.899 0.242
P 0.758 0.428 0.101
P 0.899 0.242 0.572

Top 12 peaks for 15 to 90 degrees two-theta, in order of rising 2θ:
2θ/deg	d (Å)	Rel. int.
22.73	3.912	100
31.78	2.816	78
32.95	2.719	77
40.40	2.232	23
46.43	1.956	26
51.50	1.774	21
53.08	1.725	21
55.87	1.646	13
58.10	1.588	27
58.83	1.570	14
76.15	1.250	11
78.07	1.224	12



Entry 3:
Diffraction record for BaSrZnP2. The powder XRD pattern is theoretical, not measured: it uses a cell relaxed with PBE and Cu Kα.
Kinematic intensities with the Lorentz-polarization factor, no thermal factor.

Crystal structure
a = 7.532 Å, b = 5.156 Å, c = 8.435 Å
α = 90.00°, β = 104.35°, γ = 90.00°
Fractional positions:
Ba 0.000 0.210 0.250
Ba 0.000 0.790 0.750
Sr 0.500 0.461 0.750
Sr 0.500 0.539 0.250
Zn 0.500 0.000 0.000
Zn 0.500 0.000 0.500
P 0.251 0.247 0.968
P 0.251 0.753 0.468
P 0.749 0.247 0.532
P 0.749 0.753 0.032

Top 12 peaks for 15 to 90 degrees two-theta, in order of rising 2θ:
2θ/deg	d (Å)	Rel. int.
20.37	4.361	32
22.14	4.014	30
24.40	3.648	62
25.14	3.543	100
27.86	3.202	27
28.17	3.168	61
28.47	3.135	35
32.65	2.743	41
36.62	2.454	42
36.98	2.431	57
40.00	2.254	31
51.65	1.770	32